Structure and theoretical XRD peak list of PmZrV (a structure optimized by DFT (GGA-PBE); copper Kα).

Cell and atoms:
a = 3.2318 Å, b = 3.2318 Å, c = 27.1402 Å
α = 90.00°, β = 90.00°, γ = 90.00°
Positions (direct):
Pm 0.0000 0.0000 0.0658
Pm 0.0000 0.0000 0.9342
Pm 0.5000 0.5000 0.4342
Pm 0.5000 0.5000 0.5658
Zr 0.0000 0.0000 0.3399
Zr 0.0000 0.0000 0.6601
Zr 0.5000 0.5000 0.1601
Zr 0.5000 0.5000 0.8399
V 0.0000 0.0000 0.2279
V 0.0000 0.0000 0.7721
V 0.5000 0.5000 0.2721
V 0.5000 0.5000 0.7279

Top 8 peaks for 10 to 80 degrees two-theta, sorted by position:
2θ 26.3, 3.393 Å, rel. 18.1; 2θ 27.8, 3.209 Å, rel. 26.5; 2θ 29.3, 3.043 Å, rel. 40.0; 2θ 36.2, 2.482 Å, rel. 100.0; 2θ 39.4, 2.285 Å, rel. 52.3; 2θ 52.3, 1.748 Å, rel. 14.6; 2θ 57.0, 1.616 Å, rel. 17.4; 2θ 69.4, 1.354 Å, rel. 28.4

Structure and theoretical XRD peak list of Ba4LiMo2N7 (a structure optimized by DFT (GGA-PBE); copper Kα).

Cell and atoms:
a = 10.4612 Å, b = 6.5524 Å, c = 17.4720 Å
α = 90.00°, β = 117.30°, γ = 90.00°
Positions (direct):
Ba 0.0000 0.0220 0.2500
Ba 0.0000 0.9780 0.7500
Ba 0.1977 0.1444 0.6210
Ba 0.1977 0.8556 0.1210
Ba 0.2383 0.2809 0.9844
Ba 0.2383 0.7191 0.4844
Ba 0.3485 0.2278 0.4280
Ba 0.3485 0.7722 0.9280
Ba 0.5000 0.3179 0.2500
Ba 0.5000 0.6821 0.7500
Ba 0.6515 0.2278 0.0720
Ba 0.6515 0.7722 0.5720
Ba 0.7617 0.2809 0.5156
Ba 0.7617 0.7191 0.0156
Ba 0.8023 0.1444 0.8790
Ba 0.8023 0.8556 0.3790
Li 0.1340 0.4604 0.7598
Li 0.1340 0.5396 0.2598
Li 0.8660 0.4604 0.7402
Li 0.8660 0.5396 0.2402
Mo 0.0177 0.3287 0.0971
Mo 0.0177 0.6713 0.5971
Mo 0.4507 0.2251 0.8451
Mo 0.4507 0.7749 0.3451
Mo 0.5493 0.2251 0.6549
Mo 0.5493 0.7749 0.1549
Mo 0.9823 0.3287 0.4029
Mo 0.9823 0.6713 0.9029
N 0.0000 0.5000 0.0000
N 0.0000 0.5000 0.5000
N 0.0697 0.4681 0.3475
N 0.0697 0.5319 0.8475
N 0.0756 0.0769 0.4351
N 0.0756 0.9231 0.9351
N 0.2080 0.2777 0.1724
N 0.2080 0.7223 0.6724
N 0.2534 0.1826 0.8048
N 0.2534 0.8174 0.3048
N 0.4446 0.0116 0.5835
N 0.4446 0.9884 0.0835
N 0.4840 0.4644 0.5918
N 0.4840 0.5356 0.0918
N 0.5000 0.2419 0.7500
N 0.5000 0.7581 0.2500
N 0.5160 0.4644 0.9082
N 0.5160 0.5356 0.4082
N 0.5554 0.0116 0.9165
N 0.5554 0.9884 0.4165
N 0.7466 0.1826 0.6952
N 0.7466 0.8174 0.1952
N 0.7920 0.2777 0.3276
N 0.7920 0.7223 0.8276
N 0.9244 0.0769 0.0649
N 0.9244 0.9231 0.5649
N 0.9303 0.4681 0.1525
N 0.9303 0.5319 0.6525

Top 8 peaks for 10 to 80 degrees two-theta, sorted by position:
2θ 26.5, 3.365 Å, rel. 46.4; 2θ 27.2, 3.276 Å, rel. 27.0; 2θ 29.2, 3.060 Å, rel. 63.5; 2θ 29.3, 3.049 Å, rel. 100.0; 2θ 31.4, 2.853 Å, rel. 22.3; 2θ 31.9, 2.807 Å, rel. 19.9; 2θ 38.3, 2.347 Å, rel. 18.6; 2θ 45.1, 2.011 Å, rel. 24.6

Structure and theoretical XRD peak list of Pa2AsO8 (a structure optimized by DFT (GGA-PBE); copper Kα).

Cell and atoms:
a = 6.5097 Å, b = 6.5097 Å, c = 4.1887 Å
α = 90.00°, β = 90.00°, γ = 113.72°
Positions (direct):
Pa 0.1870 0.8130 0.0000
Pa 0.8130 0.1870 0.0000
As 0.5000 0.5000 0.0645
O 0.0000 0.0000 0.9941
O 0.1927 0.8073 0.4997
O 0.2011 0.4537 0.0060
O 0.4537 0.2011 0.0060
O 0.5000 0.5000 0.4866
O 0.5463 0.7989 0.0060
O 0.7989 0.5463 0.0060
O 0.8073 0.1927 0.4997

Top 8 peaks for 10 to 80 degrees two-theta, sorted by position:
2θ 16.3, 5.451 Å, rel. 30.2; 2θ 21.2, 4.189 Å, rel. 100.0; 2θ 25.0, 3.559 Å, rel. 67.3; 2θ 27.6, 3.236 Å, rel. 85.5; 2θ 33.0, 2.712 Å, rel. 43.2; 2θ 35.0, 2.561 Å, rel. 59.8; 2θ 45.7, 1.987 Å, rel. 28.1; 2θ 50.9, 1.795 Å, rel. 29.5

Structure and theoretical XRD peak list of CaY4 (a structure optimized by DFT (GGA-PBE); copper Kα).

Cell and atoms:
a = 8.0718 Å, b = 8.0718 Å, c = 5.1640 Å
α = 90.00°, β = 90.00°, γ = 90.00°
Positions (direct):
Ca 0.0000 0.0000 0.0000
Ca 0.5000 0.5000 0.5000
Y 0.0971 0.6935 0.5000
Y 0.1935 0.4029 0.0000
Y 0.3065 0.0971 0.5000
Y 0.4029 0.8065 0.0000
Y 0.5971 0.1935 0.0000
Y 0.6935 0.9029 0.5000
Y 0.8065 0.5971 0.0000
Y 0.9029 0.3065 0.5000

Top 8 peaks for 10 to 80 degrees two-theta, sorted by position:
2θ 30.2, 2.959 Å, rel. 100.0; 2θ 34.7, 2.582 Å, rel. 16.8; 2θ 35.2, 2.553 Å, rel. 32.4; 2θ 50.3, 1.815 Å, rel. 22.6; 2θ 50.6, 1.805 Å, rel. 11.5; 2θ 59.5, 1.554 Å, rel. 13.6; 2θ 60.0, 1.541 Å, rel. 25.8; 2θ 62.8, 1.479 Å, rel. 11.7